1.
This entry pairs a crystal structure of La2CdRuAu with its calculated powder X-ray diffraction pattern. Radiation: CuKα. Structure: a crystal structure in Alexandria, relaxed with GGA-PBE.
No peak broadening, texture or thermal motion is included.

The 12 most intense peaks (2θ = 10–80°), by angle:
d [Å]  2theta  I/Imax
3.091  28.89  31
3.026  29.52  34
2.855  31.34  100
2.765  32.37  97
2.599  34.51  87
2.466  36.43  54
2.449  36.70  95
2.303  39.11  52
2.214  40.76  24
2.084  43.42  56
1.663  55.23  31
1.591  57.96  38

Structural model:
```
data_La2CdRuAu
_chemical_formula_sum 'La4 Cd2 Ru2 Au2'
_space_group_name_H-M_alt 'P 1 21/m 1'
_space_group_IT_number 11
_space_group_name_Hall '-P 2yb'
_cell_length_a 7.904
_cell_length_b 4.168
_cell_length_c 8.289
_cell_angle_alpha 90.00
_cell_angle_beta 110.60
_cell_angle_gamma 90.00
loop_
_atom_site_label
_atom_site_type_symbol
_atom_site_fract_x
_atom_site_fract_y
_atom_site_fract_z
La1 La 0.029 0.250 0.221
La2 La 0.352 0.750 0.616
Cd1 Cd 0.346 0.250 0.949
Ru1 Ru 0.095 0.250 0.609
Au1 Au 0.325 0.750 0.201
```

---

2.
This entry pairs a crystal structure of Na2LiNdI6 with its calculated powder X-ray diffraction pattern. Radiation: CuKα. Structure: a crystal structure in Alexandria, relaxed with GGA-PBE.
No peak broadening, texture or thermal motion is included.

The 12 most intense peaks (2θ = 10–80°), by angle:
d [Å]  2theta  I/Imax
6.554  13.51  9
5.792  15.30  16
3.573  24.92  14
3.473  25.65  100
2.896  30.88  8
2.657  33.73  35
2.294  39.27  29
2.043  44.33  24
1.931  47.07  11
1.914  47.49  15
1.470  63.26  10
1.410  66.31  11

Structural model:
```
data_Na2LiNdI6
_chemical_formula_sum 'Na6 Li3 Nd3 I18'
_space_group_name_H-M_alt 'R 3'
_space_group_IT_number 146
_space_group_name_Hall 'R 3'
_cell_length_a 7.9483
_cell_length_b 7.9483
_cell_length_c 21.4380
_cell_angle_alpha 90.00
_cell_angle_beta 90.00
_cell_angle_gamma 120.00
loop_
_atom_site_label
_atom_site_type_symbol
_atom_site_fract_x
_atom_site_fract_y
_atom_site_fract_z
Na1 Na 0.0000 0.0000 0.0000
Na2 Na 0.0000 0.0000 0.4966
Li1 Li 0.0000 0.0000 0.1958
Nd1 Nd 0.0000 0.0000 0.6885
I1 I 0.0313 0.6907 0.2654
I2 I 0.0383 0.3464 0.7684
```

---

3.
This entry pairs a crystal structure of K3LiOs2O9 with its calculated powder X-ray diffraction pattern. Radiation: CuKα. Structure: a crystal structure in Alexandria, relaxed with GGA-PBE.
No peak broadening, texture or thermal motion is included.

The 12 most intense peaks (2θ = 10–80°), by angle:
d [Å]  2theta  I/Imax
7.027  12.60  30
4.883  18.17  42
4.010  22.17  100
2.852  31.36  74
2.819  31.74  62
2.617  34.27  14
2.005  45.22  48
1.802  50.67  16
1.785  51.17  21
1.653  55.60  15
1.634  56.30  29
1.426  65.45  15

Structural model:
```
data_K3LiOs2O9
_chemical_formula_sum 'K3 Li1 Os2 O9'
_space_group_name_H-M_alt 'P -3 m 1'
_space_group_IT_number 164
_space_group_name_Hall '-P 3 2"'
_cell_length_a 5.6387
_cell_length_b 5.6387
_cell_length_c 7.0272
_cell_angle_alpha 90.00
_cell_angle_beta 90.00
_cell_angle_gamma 120.00
loop_
_atom_site_label
_atom_site_type_symbol
_atom_site_fract_x
_atom_site_fract_y
_atom_site_fract_z
K1 K 0.0000 0.0000 0.0000
K2 K 0.3333 0.6667 0.6583
Li1 Li 0.0000 0.0000 0.5000
Os1 Os 0.3333 0.6667 0.1697
O1 O 0.0000 0.5000 0.0000
O2 O 0.1764 0.3528 0.3105
```

---

4.
This entry pairs a crystal structure of K3Tb2HoS6 with its calculated powder X-ray diffraction pattern. Radiation: CuKα. Structure: a crystal structure in Alexandria, relaxed with GGA-PBE.
No peak broadening, texture or thermal motion is included.

The 12 most intense peaks (2θ = 10–80°), by angle:
d [Å]  2theta  I/Imax
7.371  12.01  78
3.686  24.15  17
3.471  25.66  26
3.350  26.61  35
2.966  30.13  100
2.350  38.31  20
2.173  41.56  36
2.029  44.65  34
1.957  46.41  17
1.778  51.40  14
1.675  54.81  17
1.292  73.28  14

Structural model:
```
data_K3Tb2HoS6
_chemical_formula_sum 'K6 Tb4 Ho2 S12'
_space_group_name_H-M_alt 'C 1 2/m 1'
_space_group_IT_number 12
_space_group_name_Hall '-C 2y'
_cell_length_a 7.030
_cell_length_b 12.176
_cell_length_c 7.735
_cell_angle_alpha 90.00
_cell_angle_beta 107.64
_cell_angle_gamma 90.00
loop_
_atom_site_label
_atom_site_type_symbol
_atom_site_fract_x
_atom_site_fract_y
_atom_site_fract_z
K1 K 0.000 0.000 0.000
K2 K 0.000 0.333 0.000
Tb1 Tb 0.000 0.167 0.500
Ho1 Ho 0.000 0.500 0.500
S1 S 0.233 0.334 0.702
S2 S 0.236 0.000 0.702
```

---

Repeat the first record exactly.
This entry pairs a crystal structure of La2CdRuAu with its calculated powder X-ray diffraction pattern. Radiation: CuKα. Structure: a crystal structure in Alexandria, relaxed with GGA-PBE.
No peak broadening, texture or thermal motion is included.

The 12 most intense peaks (2θ = 10–80°), by angle:
d [Å]  2theta  I/Imax
3.091  28.89  31
3.026  29.52  34
2.855  31.34  100
2.765  32.37  97
2.599  34.51  87
2.466  36.43  54
2.449  36.70  95
2.303  39.11  52
2.214  40.76  24
2.084  43.42  56
1.663  55.23  31
1.591  57.96  38

Structural model:
```
data_La2CdRuAu
_chemical_formula_sum 'La4 Cd2 Ru2 Au2'
_space_group_name_H-M_alt 'P 1 21/m 1'
_space_group_IT_number 11
_space_group_name_Hall '-P 2yb'
_cell_length_a 7.904
_cell_length_b 4.168
_cell_length_c 8.289
_cell_angle_alpha 90.00
_cell_angle_beta 110.60
_cell_angle_gamma 90.00
loop_
_atom_site_label
_atom_site_type_symbol
_atom_site_fract_x
_atom_site_fract_y
_atom_site_fract_z
La1 La 0.029 0.250 0.221
La2 La 0.352 0.750 0.616
Cd1 Cd 0.346 0.250 0.949
Ru1 Ru 0.095 0.250 0.609
Au1 Au 0.325 0.750 0.201
```

---

Repeat the second record exactly.
This entry pairs a crystal structure of Na2LiNdI6 with its calculated powder X-ray diffraction pattern. Radiation: CuKα. Structure: a crystal structure in Alexandria, relaxed with GGA-PBE.
No peak broadening, texture or thermal motion is included.

The 12 most intense peaks (2θ = 10–80°), by angle:
d [Å]  2theta  I/Imax
6.554  13.51  9
5.792  15.30  16
3.573  24.92  14
3.473  25.65  100
2.896  30.88  8
2.657  33.73  35
2.294  39.27  29
2.043  44.33  24
1.931  47.07  11
1.914  47.49  15
1.470  63.26  10
1.410  66.31  11

Structural model:
```
data_Na2LiNdI6
_chemical_formula_sum 'Na6 Li3 Nd3 I18'
_space_group_name_H-M_alt 'R 3'
_space_group_IT_number 146
_space_group_name_Hall 'R 3'
_cell_length_a 7.9483
_cell_length_b 7.9483
_cell_length_c 21.4380
_cell_angle_alpha 90.00
_cell_angle_beta 90.00
_cell_angle_gamma 120.00
loop_
_atom_site_label
_atom_site_type_symbol
_atom_site_fract_x
_atom_site_fract_y
_atom_site_fract_z
Na1 Na 0.0000 0.0000 0.0000
Na2 Na 0.0000 0.0000 0.4966
Li1 Li 0.0000 0.0000 0.1958
Nd1 Nd 0.0000 0.0000 0.6885
I1 I 0.0313 0.6907 0.2654
I2 I 0.0383 0.3464 0.7684
```